[1]
Computed powder XRD pattern
Compound: Dy4Y2Zr
Radiation: a wavelength of 1.5418 Å
Structure: a GGA-PBE-relaxed structure
Kinematic intensities with the Lorentz-polarization factor, no thermal factor.

The 10 most intense peaks (2θ from 5° to 70°), by intensity:
| 2θ/deg | d_spacing | intensity |
| --- | --- | --- |
| 32.33 | 2.769 | 100 |
| 34.55 | 2.596 | 94 |
| 29.61 | 3.017 | 58 |
| 31.74 | 2.819 | 48 |
| 62.10 | 1.495 | 41 |
| 51.87 | 1.763 | 39 |
| 47.38 | 1.919 | 20 |
| 55.43 | 1.658 | 19 |
| 59.79 | 1.547 | 18 |
| 63.83 | 1.458 | 16 |

Atomic structure:
Unit cell a=3.525 b=3.525 c=19.735 alpha=90.00 beta=90.00 gamma=120.00
Fractional positions:
Dy (0.000, 0.000, 0.000)
Dy (0.000, 0.000, 0.264)
Dy (0.667, 0.333, 0.414)
Dy (0.667, 0.333, 0.705)
Y (0.333, 0.667, 0.559)
Y (0.333, 0.667, 0.850)
Zr (0.333, 0.667, 0.131)

[2]
Computed powder XRD pattern
Compound: Pm2YTm2Mg5
Radiation: a wavelength of 1.5418 Å
Structure: a GGA-PBE-relaxed structure
Kinematic intensities with the Lorentz-polarization factor, no thermal factor.

The 10 most intense peaks (2θ from 5° to 70°), by intensity:
| 2θ/deg | d_spacing | intensity |
| --- | --- | --- |
| 17.54 | 5.057 | 100 |
| 32.05 | 2.793 | 99 |
| 35.33 | 2.540 | 53 |
| 26.61 | 3.350 | 41 |
| 35.50 | 2.529 | 36 |
| 34.92 | 2.569 | 27 |
| 11.81 | 7.490 | 27 |
| 66.92 | 1.398 | 22 |
| 44.91 | 2.018 | 20 |
| 30.42 | 2.938 | 20 |

Atomic structure:
Unit cell a=10.593 b=10.593 c=5.057 alpha=90.00 beta=90.00 gamma=90.00
Fractional positions:
Pm (0.177, 0.323, 0.000)
Pm (0.323, 0.823, 0.000)
Pm (0.677, 0.177, 0.000)
Pm (0.823, 0.677, 0.000)
Y (0.000, 0.000, 0.000)
Y (0.500, 0.500, 0.000)
Tm (0.119, 0.619, 0.000)
Tm (0.381, 0.119, 0.000)
Tm (0.619, 0.881, 0.000)
Tm (0.881, 0.381, 0.000)
Mg (0.000, 0.500, 0.500)
Mg (0.070, 0.801, 0.500)
Mg (0.199, 0.070, 0.500)
Mg (0.301, 0.570, 0.500)
Mg (0.430, 0.301, 0.500)
Mg (0.500, 0.000, 0.500)
Mg (0.570, 0.699, 0.500)
Mg (0.699, 0.430, 0.500)
Mg (0.801, 0.930, 0.500)
Mg (0.930, 0.199, 0.500)

[3]
Computed powder XRD pattern
Compound: La4ErHg2
Radiation: a wavelength of 1.5418 Å
Structure: a GGA-PBE-relaxed structure
Kinematic intensities with the Lorentz-polarization factor, no thermal factor.

The 10 most intense peaks (2θ from 5° to 70°), by intensity:
| 2θ/deg | d_spacing | intensity |
| --- | --- | --- |
| 31.62 | 2.829 | 100 |
| 32.45 | 2.759 | 56 |
| 18.41 | 4.820 | 30 |
| 44.23 | 2.048 | 30 |
| 56.85 | 1.620 | 23 |
| 45.94 | 1.975 | 22 |
| 56.32 | 1.633 | 20 |
| 30.11 | 2.968 | 14 |
| 66.05 | 1.415 | 12 |
| 22.50 | 3.951 | 11 |

Atomic structure:
Unit cell a=9.484 b=9.484 c=9.484 alpha=34.71 beta=34.71 gamma=34.71
Fractional positions:
La (0.130, 0.130, 0.130)
La (0.271, 0.271, 0.271)
La (0.729, 0.729, 0.729)
La (0.870, 0.870, 0.870)
Er (0.500, 0.500, 0.500)
Hg (0.390, 0.390, 0.390)
Hg (0.610, 0.610, 0.610)

[4]
Computed powder XRD pattern
Compound: Pm6Zn2Ir
Radiation: a wavelength of 1.5418 Å
Structure: a GGA-PBE-relaxed structure
Kinematic intensities with the Lorentz-polarization factor, no thermal factor.

The 10 most intense peaks (2θ from 5° to 70°), by intensity:
| 2θ/deg | d_spacing | intensity |
| --- | --- | --- |
| 35.75 | 2.511 | 100 |
| 35.14 | 2.554 | 27 |
| 24.92 | 3.573 | 26 |
| 35.93 | 2.499 | 24 |
| 63.44 | 1.466 | 19 |
| 51.14 | 1.786 | 18 |
| 64.47 | 1.445 | 17 |
| 21.47 | 4.139 | 14 |
| 21.78 | 4.080 | 13 |
| 25.22 | 3.531 | 13 |

Atomic structure:
Unit cell a=8.668 b=8.668 c=5.108 alpha=107.05 beta=107.05 gamma=48.08
Fractional positions:
Pm (0.087, 0.595, 0.341)
Pm (0.242, 0.758, 0.000)
Pm (0.405, 0.913, 0.659)
Pm (0.595, 0.087, 0.341)
Pm (0.758, 0.242, 0.000)
Pm (0.913, 0.405, 0.659)
Zn (0.333, 0.333, 0.834)
Zn (0.667, 0.667, 0.166)
Ir (0.000, 0.000, 0.500)

[5]
Computed powder XRD pattern
Compound: La3SnO
Radiation: a wavelength of 1.5418 Å
Structure: a GGA-PBE-relaxed structure
Kinematic intensities with the Lorentz-polarization factor, no thermal factor.

The 10 most intense peaks (2θ from 5° to 70°), by intensity:
| 2θ/deg | d_spacing | intensity |
| --- | --- | --- |
| 32.56 | 2.750 | 100 |
| 27.33 | 3.263 | 54 |
| 29.95 | 2.983 | 36 |
| 25.72 | 3.463 | 30 |
| 23.59 | 3.772 | 24 |
| 28.15 | 3.170 | 20 |
| 48.31 | 1.884 | 19 |
| 44.09 | 2.054 | 18 |
| 55.89 | 1.645 | 14 |
| 37.89 | 2.375 | 14 |

Atomic structure:
Unit cell a=6.524 b=13.490 c=6.927 alpha=90.00 beta=90.00 gamma=90.00
Fractional positions:
La (0.060, 0.111, 0.081)
La (0.060, 0.389, 0.081)
La (0.078, 0.250, 0.581)
La (0.422, 0.750, 0.081)
La (0.440, 0.611, 0.581)
La (0.440, 0.889, 0.581)
La (0.560, 0.111, 0.419)
La (0.560, 0.389, 0.419)
La (0.578, 0.250, 0.919)
La (0.922, 0.750, 0.419)
La (0.940, 0.611, 0.919)
La (0.940, 0.889, 0.919)
Sn (0.000, 0.000, 0.500)
Sn (0.000, 0.500, 0.500)
Sn (0.500, 0.000, 0.000)
Sn (0.500, 0.500, 0.000)
O (0.058, 0.750, 0.101)
O (0.442, 0.250, 0.601)
O (0.558, 0.750, 0.399)
O (0.942, 0.250, 0.899)

[6]
Computed powder XRD pattern
Compound: Tc2Sb
Radiation: a wavelength of 1.5418 Å
Structure: a GGA-PBE-relaxed structure
Kinematic intensities with the Lorentz-polarization factor, no thermal factor.

The 10 most intense peaks (2θ from 5° to 70°), by intensity:
| 2θ/deg | d_spacing | intensity |
| --- | --- | --- |
| 37.93 | 2.372 | 100 |
| 42.07 | 2.148 | 88 |
| 39.58 | 2.277 | 52 |
| 40.19 | 2.244 | 38 |
| 34.63 | 2.590 | 32 |
| 39.21 | 2.298 | 25 |
| 68.13 | 1.376 | 22 |
| 58.90 | 1.568 | 20 |
| 47.85 | 1.901 | 18 |
| 50.20 | 1.817 | 17 |

Atomic structure:
Unit cell a=9.527 b=3.136 c=7.253 alpha=90.00 beta=111.85 gamma=90.00
Fractional positions:
Tc (0.155, 0.000, 0.033)
Tc (0.178, 0.000, 0.651)
Tc (0.322, 0.500, 0.349)
Tc (0.345, 0.500, 0.967)
Tc (0.655, 0.500, 0.033)
Tc (0.678, 0.500, 0.651)
Tc (0.822, 0.000, 0.349)
Tc (0.845, 0.000, 0.967)
Sb (0.030, 0.500, 0.288)
Sb (0.470, 0.000, 0.712)
Sb (0.530, 0.000, 0.288)
Sb (0.970, 0.500, 0.712)